Theoretical powder XRD pattern of Zr3PaTl3Te8 for copper Kα, from the PBE geometry in Alexandria.

Principal peaks in the range 15 to 90 degrees two-theta, low angle first:
28.78°, rel. 100
37.84°, rel. 43
44.27°, rel. 32
53.65°, rel. 12
59.62°, rel. 12
62.87°, rel. 15
72.01°, rel. 12
77.18°, rel. 10

Atomic structure:
```
data_Zr3PaTl3Te8
_chemical_formula_sum 'Zr3 Pa1 Tl3 Te8'
_cell_length_a 8.1831
_cell_length_b 8.1831
_cell_length_c 9.7675
_cell_angle_alpha 114.73
_cell_angle_beta 114.73
_cell_angle_gamma 60.02
_symmetry_space_group_name_H-M 'P 1'
_symmetry_Int_Tables_number 1
_symmetry_space_group_name_Hall 'P 1'
loop_
_atom_site_label
_atom_site_type_symbol
_atom_site_fract_x
_atom_site_fract_y
_atom_site_fract_z
Zr1 Zr 0.0000 0.0000 0.0000
Zr2 Zr 0.0000 0.5000 0.0000
Zr3 Zr 0.5000 0.0000 0.0000
Pa1 Pa 0.5000 0.5000 0.0000
Tl1 Tl 0.0000 0.5000 0.5000
Tl2 Tl 0.5000 0.0000 0.5000
Tl3 Tl 0.5000 0.5000 0.5000
Te1 Te 0.2261 0.7446 0.2153
Te2 Te 0.2357 0.2357 0.2072
Te3 Te 0.2554 0.2554 0.7846
Te4 Te 0.2554 0.7739 0.7847
Te5 Te 0.7446 0.2261 0.2153
Te6 Te 0.7446 0.7446 0.2154
Te7 Te 0.7643 0.7643 0.7928
Te8 Te 0.7739 0.2554 0.7847
```


Theoretical powder XRD pattern of TaMnZn4 for copper Kα, from the PBE geometry in Alexandria.

Principal peaks in the range 15 to 90 degrees two-theta, low angle first:
21.95°, rel. 14
25.40°, rel. 14
36.23°, rel. 43
42.77°, rel. 100
44.77°, rel. 27
65.17°, rel. 15
69.67°, rel. 30
76.91°, rel. 22

Atomic structure:
```
data_TaMnZn4
_chemical_formula_sum 'Ta1 Mn1 Zn4'
_cell_length_a 4.9587
_cell_length_b 4.9587
_cell_length_c 4.9587
_cell_angle_alpha 60.00
_cell_angle_beta 60.00
_cell_angle_gamma 60.00
_symmetry_space_group_name_H-M 'P 1'
_symmetry_Int_Tables_number 1
_symmetry_space_group_name_Hall 'P 1'
loop_
_atom_site_label
_atom_site_type_symbol
_atom_site_fract_x
_atom_site_fract_y
_atom_site_fract_z
Ta1 Ta 0.0000 0.0000 0.0000
Mn1 Mn 0.2500 0.2500 0.2500
Zn1 Zn 0.1257 0.6248 0.6248
Zn2 Zn 0.6248 0.1257 0.6248
Zn3 Zn 0.6248 0.6248 0.1257
Zn4 Zn 0.6248 0.6248 0.6248
```


Theoretical powder XRD pattern of TlRu2PbO8 for copper Kα, from the PBE geometry in Alexandria.

Principal peaks in the range 15 to 90 degrees two-theta, low angle first:
16.68°, rel. 72
20.16°, rel. 41
28.22°, rel. 100
29.10°, rel. 85
37.16°, rel. 31
40.98°, rel. 46
49.40°, rel. 27
51.05°, rel. 39

Atomic structure:
```
data_TlRu2PbO8
_chemical_formula_sum 'Tl1 Ru2 Pb1 O8'
_cell_length_a 6.1375
_cell_length_b 6.1375
_cell_length_c 7.8684
_cell_angle_alpha 90.00
_cell_angle_beta 90.00
_cell_angle_gamma 120.00
_symmetry_space_group_name_H-M 'P 1'
_symmetry_Int_Tables_number 1
_symmetry_space_group_name_Hall 'P 1'
loop_
_atom_site_label
_atom_site_type_symbol
_atom_site_fract_x
_atom_site_fract_y
_atom_site_fract_z
Tl1 Tl 0.0000 0.0000 0.0000
Ru1 Ru 0.3333 0.6667 0.3335
Ru2 Ru 0.6667 0.3333 0.6665
Pb1 Pb 0.0000 0.0000 0.5000
O1 O 0.1718 0.3436 0.2713
O2 O 0.1718 0.8282 0.2713
O3 O 0.3333 0.6667 0.5566
O4 O 0.3436 0.1718 0.7287
O5 O 0.6564 0.8282 0.2713
O6 O 0.6667 0.3333 0.4434
O7 O 0.8282 0.1718 0.7287
O8 O 0.8282 0.6564 0.7287
```


Theoretical powder XRD pattern of KB for copper Kα, from the PBE geometry in Alexandria.

Principal peaks in the range 15 to 90 degrees two-theta, low angle first:
19.05°, rel. 21
33.31°, rel. 100
33.68°, rel. 100
48.11°, rel. 32
59.54°, rel. 15
59.77°, rel. 31
67.47°, rel. 9
79.94°, rel. 12

Atomic structure:
```
data_KB
_chemical_formula_sum 'K2 B2'
_cell_length_a 5.3788
_cell_length_b 5.3788
_cell_length_c 3.2416
_cell_angle_alpha 90.00
_cell_angle_beta 90.00
_cell_angle_gamma 120.00
_symmetry_space_group_name_H-M 'P 1'
_symmetry_Int_Tables_number 1
_symmetry_space_group_name_Hall 'P 1'
loop_
_atom_site_label
_atom_site_type_symbol
_atom_site_fract_x
_atom_site_fract_y
_atom_site_fract_z
K1 K 0.3333 0.6667 0.0000
K2 K 0.6667 0.3333 0.5000
B1 B 0.0000 0.0000 0.2289
B2 B 0.0000 0.0000 0.7289
```